Starting from a crystal structure in Alexandria, relaxed with PBE, the XRD peak list of SrLaOsN2 was computed for λ = 1.5418 Å (Cu Kα).
Neutral-atom scattering factors, no anomalous dispersion.

Principal peaks in the range 10° ≤ 2θ ≤ 80°, low angle first:
15.2°, 5.821 Å, intensity 18; 17.0°, 5.218 Å, intensity 47; 28.6°, 3.124 Å, intensity 24; 30.7°, 2.911 Å, intensity 27; 33.4°, 2.680 Å, intensity 100; 34.4°, 2.609 Å, intensity 21; 45.3°, 2.003 Å, intensity 14; 46.8°, 1.943 Å, intensity 23; 56.4°, 1.632 Å, intensity 23; 61.0°, 1.520 Å, intensity 18

Cell and atoms:
```
data_SrLaOsN2
_chemical_formula_sum 'Sr2 La2 Os2 N4'
_cell_length_a 5.218
_cell_length_b 5.821
_cell_length_c 7.404
_cell_angle_alpha 90.00
_cell_angle_beta 90.00
_cell_angle_gamma 90.00
_symmetry_space_group_name_H-M 'P 1'
_symmetry_Int_Tables_number 1
loop_
_symmetry_equiv_pos_as_xyz
'x,y,z'
loop_
_atom_site_label
_atom_site_fract_x
_atom_site_fract_y
_atom_site_fract_z
Sr1 0.000 0.000 0.250
Sr2 0.000 0.000 0.750
La1 0.500 0.500 0.250
La2 0.500 0.500 0.750
Os1 0.500 0.000 0.000
Os2 0.500 0.000 0.500
N1 0.310 0.270 0.000
N2 0.310 0.730 0.500
N3 0.690 0.270 0.500
N4 0.690 0.730 0.000
```

Starting from a crystal structure in Alexandria, relaxed with PBE, the XRD peak list of La8P2N3 was computed for λ = 1.5418 Å (Cu Kα).
Neutral-atom scattering factors, no anomalous dispersion.

Principal peaks in the range 10° ≤ 2θ ≤ 80°, low angle first:
12.9°, 6.847 Å, intensity 33; 26.0°, 3.424 Å, intensity 59; 27.3°, 3.269 Å, intensity 48; 27.5°, 3.239 Å, intensity 100; 32.2°, 2.781 Å, intensity 69; 32.6°, 2.749 Å, intensity 33; 34.0°, 2.634 Å, intensity 59; 35.4°, 2.537 Å, intensity 99; 47.6°, 1.911 Å, intensity 44; 52.2°, 1.754 Å, intensity 30

Cell and atoms:
```
data_La8P2N3
_chemical_formula_sum 'La8 P2 N3'
_cell_length_a 8.054
_cell_length_b 8.054
_cell_length_c 6.666
_cell_angle_alpha 104.19
_cell_angle_beta 104.19
_cell_angle_gamma 55.56
_symmetry_space_group_name_H-M 'P 1'
_symmetry_Int_Tables_number 1
loop_
_symmetry_equiv_pos_as_xyz
'x,y,z'
loop_
_atom_site_label
_atom_site_fract_x
_atom_site_fract_y
_atom_site_fract_z
La1 0.100 0.100 0.423
La2 0.153 0.636 0.107
La3 0.364 0.847 0.893
La4 0.397 0.397 0.603
La5 0.603 0.603 0.397
La6 0.636 0.153 0.107
La7 0.847 0.364 0.893
La8 0.900 0.900 0.577
P1 0.244 0.244 0.184
P2 0.756 0.756 0.816
N1 0.267 0.733 0.500
N2 0.500 0.500 0.000
N3 0.733 0.267 0.500
```

Starting from a crystal structure in Alexandria, relaxed with PBE, the XRD peak list of LaPaPN was computed for λ = 1.5418 Å (Cu Kα).
Neutral-atom scattering factors, no anomalous dispersion.

Principal peaks in the range 10° ≤ 2θ ≤ 80°, low angle first:
25.9°, 3.440 Å, intensity 37; 26.7°, 3.341 Å, intensity 19; 27.7°, 3.217 Å, intensity 26; 28.5°, 3.132 Å, intensity 44; 30.4°, 2.936 Å, intensity 100; 40.6°, 2.224 Å, intensity 25; 46.5°, 1.954 Å, intensity 41; 49.9°, 1.829 Å, intensity 24; 54.0°, 1.699 Å, intensity 31; 56.6°, 1.627 Å, intensity 18

Cell and atoms:
```
data_LaPaPN
_chemical_formula_sum 'La2 Pa2 P2 N2'
_cell_length_a 13.946
_cell_length_b 13.946
_cell_length_c 13.946
_cell_angle_alpha 16.11
_cell_angle_beta 16.11
_cell_angle_gamma 16.11
_symmetry_space_group_name_H-M 'P 1'
_symmetry_Int_Tables_number 1
loop_
_symmetry_equiv_pos_as_xyz
'x,y,z'
loop_
_atom_site_label
_atom_site_fract_x
_atom_site_fract_y
_atom_site_fract_z
La1 0.210 0.210 0.210
La2 0.790 0.790 0.790
Pa1 0.369 0.369 0.369
Pa2 0.631 0.631 0.631
P1 0.079 0.079 0.079
P2 0.921 0.921 0.921
N1 0.314 0.314 0.314
N2 0.686 0.686 0.686
```

Starting from a crystal structure in Alexandria, relaxed with PBE, the XRD peak list of LaPPdN was computed for λ = 1.5418 Å (Cu Kα).
Neutral-atom scattering factors, no anomalous dispersion.

Principal peaks in the range 10° ≤ 2θ ≤ 80°, low angle first:
23.5°, 3.781 Å, intensity 30; 30.5°, 2.930 Å, intensity 100; 34.0°, 2.636 Å, intensity 43; 34.6°, 2.595 Å, intensity 32; 34.8°, 2.578 Å, intensity 62; 36.9°, 2.439 Å, intensity 32; 37.1°, 2.424 Å, intensity 23; 45.4°, 1.998 Å, intensity 22; 54.6°, 1.681 Å, intensity 21; 57.2°, 1.610 Å, intensity 20

Cell and atoms:
```
data_LaPPdN
_chemical_formula_sum 'La1 P1 Pd1 N1'
_cell_length_a 4.005
_cell_length_b 3.678
_cell_length_c 5.136
_cell_angle_alpha 90.00
_cell_angle_beta 109.26
_cell_angle_gamma 90.00
_symmetry_space_group_name_H-M 'P 1'
_symmetry_Int_Tables_number 1
loop_
_symmetry_equiv_pos_as_xyz
'x,y,z'
loop_
_atom_site_label
_atom_site_fract_x
_atom_site_fract_y
_atom_site_fract_z
La1 0.000 0.000 0.000
P1 0.344 0.500 0.655
Pd1 0.755 0.500 0.426
N1 0.446 0.500 0.001
```

Starting from a crystal structure in Alexandria, relaxed with PBE, the XRD peak list of LaPrPN was computed for λ = 1.5418 Å (Cu Kα).
Neutral-atom scattering factors, no anomalous dispersion.

Principal peaks in the range 10° ≤ 2θ ≤ 80°, low angle first:
25.8°, 3.449 Å, intensity 37; 26.3°, 3.386 Å, intensity 30; 28.3°, 3.156 Å, intensity 100; 32.0°, 2.799 Å, intensity 40; 41.9°, 2.157 Å, intensity 15; 44.0°, 2.059 Å, intensity 39; 47.7°, 1.907 Å, intensity 30; 52.0°, 1.760 Å, intensity 28; 53.1°, 1.725 Å, intensity 18; 71.3°, 1.322 Å, intensity 14

Cell and atoms:
```
data_LaPrPN
_chemical_formula_sum 'La2 Pr2 P2 N2'
_cell_length_a 4.119
_cell_length_b 4.119
_cell_length_c 13.543
_cell_angle_alpha 90.00
_cell_angle_beta 90.00
_cell_angle_gamma 120.00
_symmetry_space_group_name_H-M 'P 1'
_symmetry_Int_Tables_number 1
loop_
_symmetry_equiv_pos_as_xyz
'x,y,z'
loop_
_atom_site_label
_atom_site_fract_x
_atom_site_fract_y
_atom_site_fract_z
La1 0.000 0.000 0.000
La2 0.000 0.000 0.500
Pr1 0.333 0.667 0.261
Pr2 0.667 0.333 0.761
P1 0.333 0.667 0.615
P2 0.667 0.333 0.115
N1 0.000 0.000 0.332
N2 0.000 0.000 0.832
```

Starting from a crystal structure in Alexandria, relaxed with PBE, the XRD peak list of LaPr2PN5 was computed for λ = 1.5418 Å (Cu Kα).
Neutral-atom scattering factors, no anomalous dispersion.

Principal peaks in the range 10° ≤ 2θ ≤ 80°, low angle first:
24.6°, 3.623 Å, intensity 27; 30.3°, 2.949 Å, intensity 56; 30.8°, 2.901 Å, intensity 100; 32.8°, 2.729 Å, intensity 34; 37.1°, 2.422 Å, intensity 24; 38.4°, 2.343 Å, intensity 54; 41.7°, 2.166 Å, intensity 27; 50.4°, 1.811 Å, intensity 20; 56.0°, 1.642 Å, intensity 21; 57.3°, 1.607 Å, intensity 18

Cell and atoms:
```
data_LaPr2PN5
_chemical_formula_sum 'La2 Pr4 P2 N10'
_cell_length_a 7.297
_cell_length_b 7.297
_cell_length_c 7.297
_cell_angle_alpha 124.02
_cell_angle_beta 124.02
_cell_angle_gamma 83.17
_symmetry_space_group_name_H-M 'P 1'
_symmetry_Int_Tables_number 1
loop_
_symmetry_equiv_pos_as_xyz
'x,y,z'
loop_
_atom_site_label
_atom_site_fract_x
_atom_site_fract_y
_atom_site_fract_z
La1 0.250 0.250 0.000
La2 0.750 0.750 0.000
Pr1 0.181 0.681 0.861
Pr2 0.319 0.181 0.500
Pr3 0.681 0.819 0.500
Pr4 0.819 0.319 0.139
P1 0.250 0.750 0.500
P2 0.750 0.250 0.500
N1 0.000 0.000 0.000
N2 0.022 0.788 0.500
N3 0.212 0.712 0.234
N4 0.288 0.522 0.500
N5 0.478 0.978 0.766
N6 0.500 0.500 0.000
N7 0.522 0.022 0.234
N8 0.712 0.478 0.500
N9 0.788 0.288 0.766
N10 0.978 0.212 0.500
```

Starting from a crystal structure in Alexandria, relaxed with PBE, the XRD peak list of La2P2RuN6 was computed for λ = 1.5418 Å (Cu Kα).
Neutral-atom scattering factors, no anomalous dispersion.

Principal peaks in the range 10° ≤ 2θ ≤ 80°, low angle first:
19.4°, 4.579 Å, intensity 17; 29.2°, 3.062 Å, intensity 62; 32.4°, 2.760 Å, intensity 100; 33.8°, 2.654 Å, intensity 66; 44.2°, 2.050 Å, intensity 37; 47.5°, 1.913 Å, intensity 24; 55.9°, 1.646 Å, intensity 21; 57.9°, 1.593 Å, intensity 19; 58.7°, 1.572 Å, intensity 24; 62.3°, 1.491 Å, intensity 32

Cell and atoms:
```
data_La2P2RuN6
_chemical_formula_sum 'La2 P2 Ru1 N6'
_cell_length_a 6.199
_cell_length_b 6.199
_cell_length_c 6.199
_cell_angle_alpha 52.87
_cell_angle_beta 52.87
_cell_angle_gamma 52.87
_symmetry_space_group_name_H-M 'P 1'
_symmetry_Int_Tables_number 1
loop_
_symmetry_equiv_pos_as_xyz
'x,y,z'
loop_
_atom_site_label
_atom_site_fract_x
_atom_site_fract_y
_atom_site_fract_z
La1 0.223 0.223 0.223
La2 0.777 0.777 0.777
P1 0.434 0.434 0.434
P2 0.566 0.566 0.566
Ru1 0.000 0.000 0.000
N1 0.248 0.248 0.750
N2 0.248 0.750 0.248
N3 0.250 0.752 0.752
N4 0.750 0.248 0.248
N5 0.752 0.250 0.752
N6 0.752 0.752 0.250
```

Starting from a crystal structure in Alexandria, relaxed with PBE, the XRD peak list of La3Ta2P2N4 was computed for λ = 1.5418 Å (Cu Kα).
Neutral-atom scattering factors, no anomalous dispersion.

Principal peaks in the range 10° ≤ 2θ ≤ 80°, low angle first:
16.0°, 5.551 Å, intensity 19; 29.4°, 3.034 Å, intensity 100; 30.4°, 2.938 Å, intensity 98; 35.6°, 2.521 Å, intensity 79; 43.6°, 2.077 Å, intensity 47; 53.5°, 1.714 Å, intensity 39; 57.5°, 1.603 Å, intensity 40; 59.0°, 1.566 Å, intensity 23; 67.8°, 1.382 Å, intensity 19; 71.9°, 1.314 Å, intensity 17

Cell and atoms:
```
data_La3Ta2P2N4
_chemical_formula_sum 'La3 Ta2 P2 N4'
_cell_length_a 11.484
_cell_length_b 11.484
_cell_length_c 11.484
_cell_angle_alpha 159.16
_cell_angle_beta 159.16
_cell_angle_gamma 29.64
_symmetry_space_group_name_H-M 'P 1'
_symmetry_Int_Tables_number 1
loop_
_symmetry_equiv_pos_as_xyz
'x,y,z'
loop_
_atom_site_label
_atom_site_fract_x
_atom_site_fract_y
_atom_site_fract_z
La1 0.000 0.000 0.000
La2 0.165 0.165 0.000
La3 0.835 0.835 0.000
Ta1 0.413 0.413 0.000
Ta2 0.587 0.587 0.000
P1 0.303 0.303 0.000
P2 0.697 0.697 0.000
N1 0.077 0.577 0.500
N2 0.423 0.923 0.500
N3 0.577 0.077 0.500
N4 0.923 0.423 0.500
```

Starting from a crystal structure in Alexandria, relaxed with PBE, the XRD peak list of La3Pa2N6 was computed for λ = 1.5418 Å (Cu Kα).
Neutral-atom scattering factors, no anomalous dispersion.

Principal peaks in the range 10° ≤ 2θ ≤ 80°, low angle first:
29.3°, 3.051 Å, intensity 100; 29.4°, 3.033 Å, intensity 50; 41.6°, 2.171 Å, intensity 11; 42.1°, 2.145 Å, intensity 24; 51.8°, 1.765 Å, intensity 22; 52.1°, 1.755 Å, intensity 42; 60.7°, 1.526 Å, intensity 14; 61.1°, 1.517 Å, intensity 8; 68.4°, 1.371 Å, intensity 8; 69.2°, 1.357 Å, intensity 18

Cell and atoms:
```
data_La3Pa2N6
_chemical_formula_sum 'La3 Pa2 N6'
_cell_length_a 11.269
_cell_length_b 11.269
_cell_length_c 11.269
_cell_angle_alpha 158.06
_cell_angle_beta 158.06
_cell_angle_gamma 31.23
_symmetry_space_group_name_H-M 'P 1'
_symmetry_Int_Tables_number 1
loop_
_symmetry_equiv_pos_as_xyz
'x,y,z'
loop_
_atom_site_label
_atom_site_fract_x
_atom_site_fract_y
_atom_site_fract_z
La1 0.000 0.000 0.000
La2 0.192 0.192 0.000
La3 0.808 0.808 0.000
Pa1 0.402 0.402 0.000
Pa2 0.598 0.598 0.000
N1 0.076 0.576 0.500
N2 0.294 0.294 0.000
N3 0.424 0.924 0.500
N4 0.576 0.076 0.500
N5 0.706 0.706 0.000
N6 0.924 0.424 0.500
```

Starting from a crystal structure in Alexandria, relaxed with PBE, the XRD peak list of La4PaN4 was computed for λ = 1.5418 Å (Cu Kα).
Neutral-atom scattering factors, no anomalous dispersion.

Principal peaks in the range 10° ≤ 2θ ≤ 80°, low angle first:
11.2°, 7.896 Å, intensity 13; 29.3°, 3.044 Å, intensity 38; 29.5°, 3.031 Å, intensity 39; 29.9°, 2.990 Å, intensity 74; 34.4°, 2.610 Å, intensity 100; 49.3°, 1.848 Å, intensity 23; 49.5°, 1.842 Å, intensity 23; 50.0°, 1.825 Å, intensity 12; 59.1°, 1.564 Å, intensity 22; 62.1°, 1.495 Å, intensity 12

Cell and atoms:
```
data_La4PaN4
_chemical_formula_sum 'La4 Pa1 N4'
_cell_length_a 6.436
_cell_length_b 6.436
_cell_length_c 9.134
_cell_angle_alpha 118.81
_cell_angle_beta 118.81
_cell_angle_gamma 32.94
_symmetry_space_group_name_H-M 'P 1'
_symmetry_Int_Tables_number 1
loop_
_symmetry_equiv_pos_as_xyz
'x,y,z'
loop_
_atom_site_label
_atom_site_fract_x
_atom_site_fract_y
_atom_site_fract_z
La1 0.110 0.110 0.391
La2 0.295 0.295 0.189
La3 0.705 0.705 0.811
La4 0.890 0.890 0.609
Pa1 0.500 0.500 0.000
N1 0.083 0.083 0.916
N2 0.317 0.317 0.726
N3 0.683 0.683 0.274
N4 0.917 0.917 0.084
```

Starting from a crystal structure in Alexandria, relaxed with PBE, the XRD peak list of LaPaN3 was computed for λ = 1.5418 Å (Cu Kα).
Neutral-atom scattering factors, no anomalous dispersion.

Principal peaks in the range 10° ≤ 2θ ≤ 80°, low angle first:
12.5°, 7.108 Å, intensity 21; 27.2°, 3.278 Å, intensity 46; 29.4°, 3.035 Å, intensity 95; 30.7°, 2.917 Å, intensity 45; 31.3°, 2.858 Å, intensity 100; 41.4°, 2.179 Å, intensity 44; 45.5°, 1.994 Å, intensity 25; 54.9°, 1.672 Å, intensity 21; 55.8°, 1.646 Å, intensity 31; 58.5°, 1.578 Å, intensity 29

Cell and atoms:
```
data_LaPaN3
_chemical_formula_sum 'La2 Pa2 N6'
_cell_length_a 3.695
_cell_length_b 5.833
_cell_length_c 7.108
_cell_angle_alpha 90.00
_cell_angle_beta 90.00
_cell_angle_gamma 90.00
_symmetry_space_group_name_H-M 'P 1'
_symmetry_Int_Tables_number 1
loop_
_symmetry_equiv_pos_as_xyz
'x,y,z'
loop_
_atom_site_label
_atom_site_fract_x
_atom_site_fract_y
_atom_site_fract_z
La1 0.250 0.250 0.121
La2 0.750 0.750 0.879
Pa1 0.250 0.750 0.397
Pa2 0.750 0.250 0.603
N1 0.250 0.505 0.647
N2 0.250 0.750 0.086
N3 0.250 0.995 0.647
N4 0.750 0.005 0.353
N5 0.750 0.250 0.914
N6 0.750 0.495 0.353
```

Starting from a crystal structure in Alexandria, relaxed with PBE, the XRD peak list of La2PaN3 was computed for λ = 1.5418 Å (Cu Kα).
Neutral-atom scattering factors, no anomalous dispersion.

Principal peaks in the range 10° ≤ 2θ ≤ 80°, low angle first:
29.9°, 2.993 Å, intensity 73; 30.1°, 2.968 Å, intensity 71; 34.8°, 2.581 Å, intensity 100; 49.7°, 1.836 Å, intensity 12; 50.0°, 1.825 Å, intensity 47; 50.3°, 1.813 Å, intensity 12; 59.2°, 1.562 Å, intensity 23; 59.6°, 1.551 Å, intensity 22; 62.0°, 1.497 Å, intensity 12; 62.6°, 1.484 Å, intensity 12

Cell and atoms:
```
data_La2PaN3
_chemical_formula_sum 'La8 Pa4 N12'
_cell_length_a 12.044
_cell_length_b 11.483
_cell_length_c 6.338
_cell_angle_alpha 79.32
_cell_angle_beta 69.54
_cell_angle_gamma 31.14
_symmetry_space_group_name_H-M 'P 1'
_symmetry_Int_Tables_number 1
loop_
_symmetry_equiv_pos_as_xyz
'x,y,z'
loop_
_atom_site_label
_atom_site_fract_x
_atom_site_fract_y
_atom_site_fract_z
La1 0.043 0.043 0.207
La2 0.123 0.123 0.627
La3 0.207 0.207 0.043
La4 0.373 0.373 0.877
La5 0.627 0.627 0.123
La6 0.793 0.793 0.957
La7 0.877 0.877 0.373
La8 0.957 0.957 0.793
Pa1 0.291 0.291 0.459
Pa2 0.459 0.459 0.291
Pa3 0.541 0.541 0.709
Pa4 0.709 0.709 0.541
N1 0.034 0.535 0.253
N2 0.167 0.583 0.583
N3 0.253 0.677 0.034
N4 0.323 0.747 0.465
N5 0.417 0.833 0.833
N6 0.465 0.966 0.323
N7 0.535 0.034 0.677
N8 0.583 0.167 0.167
N9 0.677 0.253 0.535
N10 0.747 0.323 0.966
N11 0.833 0.417 0.417
N12 0.966 0.465 0.747
```